The following is a calculated PXRD pattern of Co5Ni7. It was derived from a PBE-relaxed structure, using Cu Kα (weighted mean of Kα1 and Kα2).
Lines closer than 0.1° are merged.

Atomic structure:
Cell: 4.586 4.586 14.940 Å, 90.00 90.00 120.00°
Fractional coordinates of all 24 atoms:
Co (0.000, 0.500, 0.000)
Co (0.000, 0.500, 0.500)
Co (0.333, 0.667, 0.154)
Co (0.333, 0.667, 0.346)
Co (0.500, 0.000, 0.000)
Co (0.500, 0.000, 0.500)
Co (0.500, 0.500, 0.000)
Co (0.500, 0.500, 0.500)
Co (0.667, 0.333, 0.654)
Co (0.667, 0.333, 0.846)
Ni (0.000, 0.000, 0.090)
Ni (0.000, 0.000, 0.410)
Ni (0.000, 0.000, 0.590)
Ni (0.000, 0.000, 0.910)
Ni (0.162, 0.324, 0.750)
Ni (0.162, 0.838, 0.750)
Ni (0.324, 0.162, 0.250)
Ni (0.333, 0.667, 0.626)
Ni (0.333, 0.667, 0.874)
Ni (0.667, 0.333, 0.126)
Ni (0.667, 0.333, 0.374)
Ni (0.676, 0.838, 0.750)
Ni (0.838, 0.162, 0.250)
Ni (0.838, 0.676, 0.250)

Most intense lines, 5° ≤ 2θ ≤ 70°, by intensity:
2theta  Rel. int.  hkl
46.47  100  1 1 4
47.36  66  2 0 2
42.87  56  1 0 6
39.29  30  1 1 0
49.41  22  2 0 3
48.76  19  0 0 8
46.11  17  2 0 1
48.42  15  1 0 7
23.17  7  1 0 1
55.56  6  2 0 5